Theoretical PXRD pattern of KZrAlSe4 for Cu Ka, from the GGA-PBE geometry in Alexandria.
Intensities are scaled so that the largest is 100.

Atomic structure:
```
data_KZrAlSe4
_space_group_name_H-M_alt 'P 1 21/m 1'
_space_group_IT_number 11
_cell_length_a 6.561
_cell_length_b 7.036
_cell_length_c 9.278
_cell_angle_alpha 90.00
_cell_angle_beta 110.63
_cell_angle_gamma 90.00
loop_
_space_group_symop_operation_xyz
'x,y,z'
'-x,-y,-z'
'-x,y+1/2,-z'
'x,-y+1/2,z'
loop_
_atom_site_label
_atom_site_type_symbol
_atom_site_fract_x
_atom_site_fract_y
_atom_site_fract_z
K1 K 0.240 0.250 0.456
Zr1 Zr 0.287 0.250 0.953
Al1 Al 0.259 0.750 0.155
Se1 Se 0.001 0.750 0.905
Se2 Se 0.059 0.750 0.321
Se3 Se 0.476 0.504 0.807
```

The 10 most intense peaks (2θ = 10–80°), in order of rising 2θ:
2θ/deg, I_rel
10.19, 100
19.19, 20
29.10, 43
29.26, 73
31.81, 83
32.77, 45
36.66, 19
38.94, 20
43.64, 21
48.87, 24